Starting from a cell relaxed with GGA-PBE, the XRD peak list of BaSr3Cu8B8O24 was computed for a wavelength of 1.5418 Å.

Structure:
Cell lengths 6.9780, 9.1224, 9.1278 Å; angles 90.00, 90.00, 90.00 degrees
Space group P222 (No. 16)
Inequivalent atoms, fractional coordinates:
Ba 0.0000 0.0000 0.0000
Sr 0.0000 0.5000 0.5000
Sr 0.5000 0.0000 0.0000
Sr 0.5000 0.5000 0.5000
Cu 0.2509 0.3869 0.8850
Cu 0.2653 0.1149 0.3867
B 0.2553 0.2974 0.2054
B 0.2602 0.2057 0.7025
O 0.2461 0.4019 0.0983
O 0.2505 0.3547 0.6702
O 0.2539 0.3296 0.3545
O 0.2622 0.1750 0.8518
O 0.2645 0.1481 0.1747
O 0.2677 0.0986 0.5979

The 6 most intense peaks (15° ≤ 2θ ≤ 90°), by angle:
25.28 deg, I = 41, (1 2 1)
27.65 deg, I = 28, (0 2 2)
29.10 deg, I = 100, (2 1 1)
30.99 deg, I = 45, (0 3 1)
47.63 deg, I = 61, (2 4 0)
51.03 deg, I = 30, (0 5 1)

---

Starting from a cell relaxed with GGA-PBE, the XRD peak list of Ba3CuB2S6 was computed for a wavelength of 1.5418 Å.

Structure:
Cell lengths 6.6276, 6.6276, 8.3146 Å; angles 90.00, 90.00, 120.00 degrees
Space group P-3m1 (No. 164)
Inequivalent atoms, fractional coordinates:
Ba 0.0000 0.0000 0.0000
Ba 0.3333 0.6667 0.6364
Cu 0.0000 0.0000 0.5000
B 0.3333 0.6667 0.2723
S 0.1741 0.3482 0.2903

The 6 most intense peaks (15° ≤ 2θ ≤ 90°), by angle:
18.79 deg, I = 78, (1 0 1)
26.47 deg, I = 96, (0 1 2)
26.91 deg, I = 100, (1 1 0)
33.02 deg, I = 92, (0 2 1)
38.10 deg, I = 87, (2 0 2)
47.26 deg, I = 36, (1 2 2)

---

Starting from a cell relaxed with GGA-PBE, the XRD peak list of BaCuBSe3 was computed for a wavelength of 1.5418 Å.

Structure:
Cell lengths 12.1486, 6.9361, 8.0882 Å; angles 90.00, 114.09, 90.00 degrees
Space group C2/m (No. 12)
Inequivalent atoms, fractional coordinates:
Ba 0.1961 0.0000 0.2259
Cu 0.0000 0.1941 0.5000
B 0.0332 0.5000 0.2465
Se 0.0618 0.2552 0.8042
Se 0.2067 0.5000 0.3251

The 6 most intense peaks (15° ≤ 2θ ≤ 90°), by angle:
24.11 deg, I = 47, (0 0 2)
29.43 deg, I = 86, (4 0 -1)
30.18 deg, I = 62, (2 2 -1)
30.40 deg, I = 100, (2 2 0)
34.64 deg, I = 33, (2 2 -2)
52.95 deg, I = 30, (6 2 -1)

---

Starting from a cell relaxed with GGA-PBE, the XRD peak list of Ba3DyB2O8 was computed for a wavelength of 1.5418 Å.

Structure:
Cell lengths 5.6225, 5.6225, 7.3450 Å; angles 90.00, 90.00, 120.00 degrees
Space group P-3m1 (No. 164)
Inequivalent atoms, fractional coordinates:
Ba 0.0000 0.0000 0.0000
Ba 0.3333 0.6667 0.6942
Dy 0.0000 0.0000 0.5000
B 0.3333 0.6667 0.2489
O 0.1870 0.3741 0.3192
O 0.3333 0.6667 0.0498

The 6 most intense peaks (15° ≤ 2θ ≤ 90°), by angle:
21.90 deg, I = 31, (0 1 1)
30.49 deg, I = 100, (0 1 2)
31.83 deg, I = 89, (1 1 0)
38.97 deg, I = 21, (0 2 1)
44.66 deg, I = 46, (2 0 2)
55.88 deg, I = 34, (1 2 2)

---

Starting from a cell relaxed with GGA-PBE, the XRD peak list of Ba2DyB2S6 was computed for a wavelength of 1.5418 Å.

Structure:
Cell lengths 11.5465, 6.6101, 7.9560 Å; angles 90.00, 120.03, 90.00 degrees
Space group C2/m (No. 12)
Inequivalent atoms, fractional coordinates:
Ba 0.2125 0.0000 0.2104
Dy 0.0000 0.0000 0.5000
B 0.0545 0.5000 0.2611
S 0.0396 0.2618 0.7937
S 0.2338 0.5000 0.3482

The 6 most intense peaks (15° ≤ 2θ ≤ 90°), by angle:
16.07 deg, I = 71, (1 1 0)
23.28 deg, I = 97, (1 1 1)
26.46 deg, I = 69, (1 1 -2)
26.80 deg, I = 100, (3 1 -1)
35.66 deg, I = 90, (2 2 -2)
47.56 deg, I = 58, (2 2 2)

---

Starting from a cell relaxed with GGA-PBE, the XRD peak list of BaDyBSe4 was computed for a wavelength of 1.5418 Å.

Structure:
Cell lengths 6.5026, 6.7419, 8.6808 Å; angles 90.00, 107.92, 90.00 degrees
Space group P2_1/m (No. 11)
Inequivalent atoms, fractional coordinates:
Ba 0.2248 0.2500 0.4294
Dy 0.2671 0.2500 0.9462
B 0.2884 0.7500 0.1819
Se 0.1011 0.7500 0.9397
Se 0.1021 0.7500 0.3429
Se 0.4927 0.5059 0.2239

The 6 most intense peaks (15° ≤ 2θ ≤ 90°), by angle:
19.47 deg, I = 86, (1 1 0)
29.47 deg, I = 91, (1 0 2)
30.19 deg, I = 74, (1 2 0)
30.30 deg, I = 100, (2 0 -2)
34.34 deg, I = 90, (0 2 2)
34.59 deg, I = 98, (1 2 -2)

---

Starting from a cell relaxed with GGA-PBE, the XRD peak list of BaErB12 was computed for a wavelength of 1.5418 Å.

Structure:
Cell lengths 4.1771, 4.1771, 8.3570 Å; angles 90.00, 90.00, 90.00 degrees
Space group P4/mmm (No. 123)
Inequivalent atoms, fractional coordinates:
Ba 0.0000 0.0000 0.0000
Er 0.0000 0.0000 0.5000
B 0.2012 0.5000 0.2572
B 0.5000 0.5000 0.1046
B 0.5000 0.5000 0.4028

The 6 most intense peaks (15° ≤ 2θ ≤ 90°), by angle:
21.27 deg, I = 65, (1 0 0)
30.26 deg, I = 100, (1 1 0)
37.28 deg, I = 42, (1 1 2)
48.74 deg, I = 50, (1 0 4)
53.75 deg, I = 28, (2 1 2)
67.23 deg, I = 28, (2 2 2)